This entry pairs a crystal structure of DySi2Pt2 with its simulated XRD peak list. Radiation: Cu Kα. Structure: the GGA-PBE geometry in the Materials Project.
Lines closer than 0.1° are merged.

Cell and atoms:
Cell lengths 4.221, 4.221, 10.025 Å; angles 90.00, 90.00, 90.00 degrees
Positions (direct):
Dy (0.000, 0.000, 0.000)
Dy (0.500, 0.500, 0.500)
Si (0.000, 0.500, 0.250)
Si (0.000, 0.500, 0.750)
Si (0.500, 0.000, 0.250)
Si (0.500, 0.000, 0.750)
Pt (0.000, 0.000, 0.366)
Pt (0.000, 0.000, 0.634)
Pt (0.500, 0.500, 0.134)
Pt (0.500, 0.500, 0.866)

Most intense lines, 2θ from 10° to 80°, in order of falling intensity:
2θ 34.2, I 100, (1 0 3)
2θ 29.9, I 75, (1 1 0)
2θ 55.9, I 50, (2 1 3)
2θ 42.8, I 44, (2 0 0)
2θ 50.4, I 18, (1 0 5)
2θ 68.2, I 15, (2 1 5)
2θ 62.2, I 15, (2 2 0)
2θ 70.6, I 13, (3 1 0)
2θ 47.4, I 13, (1 1 4)
2θ 35.0, I 13, (1 1 2)